# Sr2IO5
Simulated powder diffractogram, Cu Kα (weighted mean of Kα1 and Kα2). Input: a cell relaxed with GGA-PBE.

Cell and atoms:
a b c (Å): 10.947 4.872 6.854
angles (deg): 90.00 124.08 90.00
Atoms (fractional coordinates):
Sr: 0.210 0.000 0.245
Sr: 0.290 0.500 0.755
Sr: 0.710 0.500 0.245
Sr: 0.790 0.000 0.755
I: 0.000 0.021 0.500
I: 0.500 0.521 0.500
O: 0.000 0.403 0.500
O: 0.042 0.993 0.817
O: 0.214 0.000 0.629
O: 0.286 0.500 0.371
O: 0.458 0.493 0.183
O: 0.500 0.903 0.500
O: 0.542 0.493 0.817
O: 0.714 0.500 0.629
O: 0.786 0.000 0.371
O: 0.958 0.993 0.183

Principal peaks in the range 2θ from 10° to 90°, most intense first:
- 20.70 deg, intensity 100
- 29.23 deg, intensity 62
- 26.08 deg, intensity 59
- 15.61 deg, intensity 55
- 30.62 deg, intensity 46
- 36.90 deg, intensity 39
- 33.35 deg, intensity 35
- 47.07 deg, intensity 33
- 45.74 deg, intensity 23
- 58.90 deg, intensity 21